Record 1
Starting from the PBE geometry in Alexandria, the X-ray diffraction stick pattern of Sm2YSc2In5 was computed for Cu Kα, 1.54184 Å.

Crystal structure
abc: 10.6073 10.6073 4.6650
angles: 90.00 90.00 90.00
Space group P4/mbm (No. 127)
Asymmetric unit:
Sm (0.1784, 0.3216, 0.0000) (multiplicity 4)
Y (0.0000, 0.0000, 0.0000) (multiplicity 2)
Sc (0.1189, 0.6189, 0.0000) (multiplicity 4)
In (0.0000, 0.5000, 0.5000) (multiplicity 2)
In (0.0650, 0.7975, 0.5000) (multiplicity 8)

Main lines, by angle (2θ = 10–90°):
- 26.8 deg, d 3.326, I 42, (2 1 1)
- 30.6 deg, d 2.923, I 28, (2 2 1)
- 32.9 deg, d 2.723, I 100, (3 1 1)
- 34.9 deg, d 2.573, I 53, (4 1 0)
- 35.9 deg, d 2.500, I 16, (3 3 0)
- 36.1 deg, d 2.488, I 36, (3 2 1)
- 37.9 deg, d 2.372, I 12, (4 2 0)
- 38.6 deg, d 2.332, I 34, (0 0 2)
- 53.0 deg, d 1.728, I 32, (4 1 2)
- 66.3 deg, d 1.410, I 15, (3 1 3)

Record 2
Starting from the PBE geometry in Alexandria, the X-ray diffraction stick pattern of TbHo4Se7 was computed for Cu Kα, 1.54184 Å.

Crystal structure
abc: 13.3594 3.9559 12.1725
angles: 90.00 104.32 90.00
Space group Cm (No. 8)
Asymmetric unit:
Tb (0.0000, 0.0000, 0.0000) (multiplicity 2)
Ho (0.1132, 0.0000, 0.4224) (multiplicity 2)
Ho (0.2259, 0.0000, 0.8433) (multiplicity 2)
Ho (0.3135, 0.5000, 0.2353) (multiplicity 2)
Ho (0.4127, 0.0000, 0.6086) (multiplicity 2)
Se (0.0726, 0.0000, 0.6373) (multiplicity 2)
Se (0.1136, 0.5000, 0.9204) (multiplicity 2)
Se (0.1539, 0.0000, 0.2077) (multiplicity 2)
Se (0.2728, 0.5000, 0.4720) (multiplicity 2)
Se (0.3539, 0.5000, 0.7726) (multiplicity 2)
Se (0.3694, 0.0000, 0.0704) (multiplicity 2)
Se (0.4538, 0.0000, 0.3720) (multiplicity 2)

Main lines, by angle (2θ = 10–90°):
- 22.8 deg, d 3.905, I 96, (2 0 2)
- 23.4 deg, d 3.803, I 73, (2 0 -3)
- 30.3 deg, d 2.948, I 79, (3 1 -1)
- 30.7 deg, d 2.916, I 44, (3 1 0)
- 31.9 deg, d 2.807, I 100, (3 1 -2)
- 32.8 deg, d 2.726, I 78, (3 1 1)
- 37.3 deg, d 2.412, I 52, (1 1 -4)
- 40.1 deg, d 2.248, I 54, (1 1 4)
- 45.5 deg, d 1.992, I 44, (6 0 -4)
- 45.9 deg, d 1.978, I 60, (0 2 0)

Record 3
Starting from the PBE geometry in Alexandria, the X-ray diffraction stick pattern of Yb4Al23Ni6 was computed for Cu Kα, 1.54184 Å.

Crystal structure
abc: 15.8645 4.0859 18.2049
angles: 90.00 112.50 90.00
Space group C2/m (No. 12)
Asymmetric unit:
Yb (0.0761, 0.0000, 0.4072) (multiplicity 4)
Yb (0.2358, 0.0000, 0.7820) (multiplicity 4)
Al (0.0000, 0.5000, 0.5000) (multiplicity 2)
Al (0.0323, 0.0000, 0.7803) (multiplicity 4)
Al (0.0658, 0.0000, 0.9391) (multiplicity 4)
Al (0.0796, 0.5000, 0.6858) (multiplicity 4)
Al (0.0905, 0.5000, 0.0505) (multiplicity 4)
Al (0.0917, 0.5000, 0.2804) (multiplicity 4)
Al (0.1110, 0.0000, 0.1639) (multiplicity 4)
Al (0.1200, 0.0000, 0.5947) (multiplicity 4)
Al (0.1447, 0.5000, 0.8562) (multiplicity 4)
Al (0.2006, 0.5000, 0.5205) (multiplicity 4)
Al (0.2287, 0.0000, 0.3239) (multiplicity 4)
Al (0.2434, 0.0000, 0.9527) (multiplicity 4)
Ni (0.0076, 0.5000, 0.1361) (multiplicity 4)
Ni (0.1889, 0.0000, 0.0665) (multiplicity 4)
Ni (0.2288, 0.5000, 0.3981) (multiplicity 4)

Main lines, by angle (2θ = 10–90°):
- 15.8 deg, d 5.607, I 56, (2 0 -3)
- 22.7 deg, d 3.925, I 82, (1 1 -1)
- 30.3 deg, d 2.953, I 80, (3 1 1)
- 31.1 deg, d 2.874, I 56, (3 1 -4)
- 35.8 deg, d 2.505, I 77, (5 1 -2)
- 36.1 deg, d 2.491, I 50, (4 0 -7)
- 36.9 deg, d 2.438, I 85, (1 1 5)
- 37.4 deg, d 2.403, I 100, (1 1 -6)
- 39.9 deg, d 2.262, I 98, (5 1 1)
- 44.3 deg, d 2.043, I 81, (0 2 0)

Record 4
Starting from the PBE geometry in Alexandria, the X-ray diffraction stick pattern of PrNiOs was computed for Cu Kα, 1.54184 Å.

Crystal structure
abc: 5.1096 5.4462 7.7777
angles: 90.00 90.00 90.00
Space group Imma (No. 74)
Asymmetric unit:
Pr (0.0000, 0.2500, 0.1210) (multiplicity 4)
Ni (0.0000, 0.0000, 0.5000) (multiplicity 4)
Os (0.2500, 0.2500, 0.7500) (multiplicity 4)

Main lines, by angle (2θ = 10–90°):
- 19.9 deg, d 4.461, I 29, (0 1 1)
- 32.9 deg, d 2.723, I 38, (0 2 0)
- 33.3 deg, d 2.691, I 43, (1 1 2)
- 38.5 deg, d 2.341, I 63, (0 1 3)
- 39.2 deg, d 2.296, I 39, (1 2 1)
- 40.4 deg, d 2.231, I 38, (0 2 2)
- 40.7 deg, d 2.217, I 100, (2 1 1)
- 42.3 deg, d 2.135, I 37, (2 0 2)
- 64.1 deg, d 1.454, I 26, (2 3 1)
- 69.9 deg, d 1.345, I 38, (2 2 4)